Entry 1:
Structure and theoretical XRD peak list of Sr4Cd2In (a GGA-PBE-relaxed structure; Cu Kα (weighted mean of Kα1 and Kα2)).

Largest 8 diffraction maxima, in order of falling intensity, 15 to 90 degrees two-theta:
2θ 31.19, d = 2.868 Å, rel. 100, hkl 1 1 0; 2θ 55.50, d = 1.656 Å, rel. 38, hkl 3 0 0; 2θ 44.69, d = 2.028 Å, rel. 18, hkl 2 0 8; 2θ 73.90, d = 1.283 Å, rel. 16, hkl 3 1 8; 2θ 65.05, d = 1.434 Å, rel. 12, hkl 2 2 0; 2θ 18.95, d = 4.683 Å, rel. 6, hkl 0 0 6; 2θ 18.15, d = 4.889 Å, rel. 5, hkl 1 0 1; 2θ 36.75, d = 2.446 Å, rel. 3, hkl 1 1 6

a = 5.7323 Å, b = 5.7323 Å, c = 28.1303 Å
α = 90.00°, β = 90.00°, γ = 120.00°
Space group R-3m (No. 166, hexagonal axes)
Unique sites:
Sr  0.0000  0.0000  0.1243 (multiplicity 6)
Sr  0.0000  0.0000  0.3752 (multiplicity 6)
Cd  0.0000  0.0000  0.2484 (multiplicity 6)
In  0.0000  0.0000  0.5000 (multiplicity 3)

Entry 2:
Structure and theoretical XRD peak list of Sr2ZnCd3In4 (a GGA-PBE-relaxed structure; Cu Kα (weighted mean of Kα1 and Kα2)).

Largest 8 diffraction maxima, in order of falling intensity, 15 to 90 degrees two-theta:
2θ 30.55, d = 2.926 Å, rel. 100, hkl 1 1 2; 2θ 38.47, d = 2.340 Å, rel. 67, hkl 2 0 0; 2θ 39.62, d = 2.275 Å, rel. 51, hkl 1 1 4; 2θ 28.65, d = 3.116 Å, rel. 45, hkl 1 0 3; 2θ 40.85, d = 2.209 Å, rel. 34, hkl 1 0 5; 2θ 57.36, d = 1.606 Å, rel. 24, hkl 2 1 5; 2θ 55.54, d = 1.655 Å, rel. 22, hkl 2 2 0; 2θ 64.72, d = 1.440 Å, rel. 22, hkl 3 1 2

a = 4.6800 Å, b = 4.6800 Å, c = 12.5304 Å
α = 90.00°, β = 90.00°, γ = 90.00°
Space group P-4m2 (No. 115)
Unique sites:
Sr  0.0000  0.5000  0.2383 (multiplicity 2)
Zn  0.5000  0.5000  0.0000 (multiplicity 1)
Cd  0.0000  0.0000  0.0000 (multiplicity 1)
Cd  0.0000  0.5000  0.6464 (multiplicity 2)
In  0.0000  0.0000  0.5000 (multiplicity 1)
In  0.0000  0.5000  0.8706 (multiplicity 2)
In  0.5000  0.5000  0.5000 (multiplicity 1)

Entry 3:
Structure and theoretical XRD peak list of Ta2CdIn (a GGA-PBE-relaxed structure; Cu Kα (weighted mean of Kα1 and Kα2)).

Largest 8 diffraction maxima, in order of falling intensity, 15 to 90 degrees two-theta:
2θ 36.68, d = 2.450 Å, rel. 100, hkl 1 1 0; 2θ 39.11, d = 2.303 Å, rel. 21, hkl 0 2 0; 2θ 42.44, d = 2.130 Å, rel. 17, hkl 1 0 -2; 2θ 69.28, d = 1.356 Å, rel. 15, hkl 1 3 0; 2θ 46.05, d = 1.971 Å, rel. 13, hkl 1 0 2; 2θ 73.86, d = 1.283 Å, rel. 13, hkl 1 1 -4; 2θ 59.07, d = 1.564 Å, rel. 12, hkl 1 2 -2; 2θ 77.99, d = 1.225 Å, rel. 11, hkl 0 2 4

a = 2.9041 Å, b = 4.6064 Å, c = 5.8005 Å
α = 90.00°, β = 94.44°, γ = 90.00°
Space group P2/m (No. 10)
Unique sites:
Ta  0.0057  0.0000  0.2501 (multiplicity 2)
Cd  0.5000  0.5000  0.0000 (multiplicity 1)
In  0.5000  0.5000  0.5000 (multiplicity 1)

Entry 4:
Structure and theoretical XRD peak list of TbCdIn6 (a GGA-PBE-relaxed structure; Cu Kα (weighted mean of Kα1 and Kα2)).

Largest 8 diffraction maxima, in order of falling intensity, 15 to 90 degrees two-theta:
2θ 33.10, d = 2.707 Å, rel. 100, hkl 2 2 1; 2θ 37.01, d = 2.429 Å, rel. 18, hkl 0 4 0; 2θ 38.87, d = 2.317 Å, rel. 16, hkl 0 0 2; 2θ 39.29, d = 2.293 Å, rel. 15, hkl 4 0 0; 2θ 64.22, d = 1.450 Å, rel. 14, hkl 2 6 1; 2θ 66.74, d = 1.402 Å, rel. 12, hkl 2 2 3; 2θ 67.32, d = 1.391 Å, rel. 12, hkl 6 2 1; 2θ 54.75, d = 1.677 Å, rel. 12, hkl 0 4 2

a = 9.1713 Å, b = 9.7162 Å, c = 4.6341 Å
α = 90.00°, β = 90.00°, γ = 90.00°
Space group Cmmm (No. 65)
Unique sites:
Tb  0.0000  0.0000  0.0000 (multiplicity 2)
Cd  0.0000  0.5000  0.0000 (multiplicity 2)
In  0.0000  0.2447  0.5000 (multiplicity 4)
In  0.2394  0.5000  0.5000 (multiplicity 4)
In  0.2500  0.2500  0.0000 (multiplicity 4)

Entry 5:
Structure and theoretical XRD peak list of Tb3CdIn3 (a GGA-PBE-relaxed structure; Cu Kα (weighted mean of Kα1 and Kα2)).

Largest 8 diffraction maxima, in order of falling intensity, 15 to 90 degrees two-theta:
2θ 30.51, d = 2.930 Å, rel. 100, hkl 1 1 -4; 2θ 36.58, d = 2.457 Å, rel. 86, hkl 3 1 2; 2θ 38.02, d = 2.367 Å, rel. 69, hkl 0 2 0; 2θ 29.68, d = 3.010 Å, rel. 50, hkl 1 1 3; 2θ 31.36, d = 2.852 Å, rel. 42, hkl 4 0 -2; 2θ 34.92, d = 2.569 Å, rel. 37, hkl 3 1 -4; 2θ 30.14, d = 2.965 Å, rel. 24, hkl 3 1 -1; 2θ 50.08, d = 1.821 Å, rel. 22, hkl 4 2 -2

a = 11.4372 Å, b = 4.7332 Å, c = 14.9250 Å
α = 90.00°, β = 108.42°, γ = 90.00°
Space group C2/m (No. 12)
Unique sites:
Tb  0.0347  0.0000  0.3809 (multiplicity 4)
Tb  0.0997  0.0000  0.9210 (multiplicity 4)
Tb  0.2305  0.0000  0.2177 (multiplicity 4)
Cd  0.2388  0.5000  0.3869 (multiplicity 4)
In  0.0148  0.5000  0.2302 (multiplicity 4)
In  0.1199  0.5000  0.0725 (multiplicity 4)
In  0.1293  0.5000  0.5513 (multiplicity 4)

Entry 6:
Structure and theoretical XRD peak list of Tb6CdIn6 (a GGA-PBE-relaxed structure; Cu Kα (weighted mean of Kα1 and Kα2)).

Largest 8 diffraction maxima, in order of falling intensity, 15 to 90 degrees two-theta:
2θ 36.82, d = 2.441 Å, rel. 100, hkl 2 0 2; 2θ 32.88, d = 2.724 Å, rel. 63, hkl 1 1 2; 2θ 28.10, d = 3.175 Å, rel. 56, hkl 1 1 0; 2θ 32.56, d = 2.750 Å, rel. 37, hkl 2 0 0; 2θ 33.81, d = 2.651 Å, rel. 34, hkl 0 0 4; 2θ 58.10, d = 1.588 Å, rel. 32, hkl 2 2 0; 2θ 59.89, d = 1.544 Å, rel. 29, hkl 1 1 6; 2θ 68.94, d = 1.362 Å, rel. 25, hkl 2 2 4

a = 6.3507 Å, b = 6.3507 Å, c = 10.6055 Å
α = 90.00°, β = 90.00°, γ = 120.00°
Space group P6/mmm (No. 191)
Unique sites:
Tb  0.0000  0.0000  0.1851 (multiplicity 2)
Tb  0.3333  0.6667  0.0000 (multiplicity 2)
Tb  0.3333  0.6667  0.5000 (multiplicity 2)
Cd  0.0000  0.0000  0.5000 (multiplicity 1)
In  0.0000  0.5000  0.2499 (multiplicity 6)

Entry 7:
Structure and theoretical XRD peak list of Tb3Cd7In2 (a GGA-PBE-relaxed structure; Cu Kα (weighted mean of Kα1 and Kα2)).

Largest 8 diffraction maxima, in order of falling intensity, 15 to 90 degrees two-theta:
2θ 32.05, d = 2.793 Å, rel. 100, hkl 1 1 -3; 2θ 35.21, d = 2.549 Å, rel. 56, hkl 1 1 3; 2θ 37.59, d = 2.393 Å, rel. 41, hkl 2 0 -1; 2θ 43.52, d = 2.080 Å, rel. 28, hkl 0 2 0; 2θ 31.79, d = 2.815 Å, rel. 25, hkl 0 1 4; 2θ 37.41, d = 2.404 Å, rel. 22, hkl 1 0 5; 2θ 58.84, d = 1.570 Å, rel. 22, hkl 2 2 -1; 2θ 29.78, d = 3.000 Å, rel. 19, hkl 1 1 1

a = 4.7853 Å, b = 4.1590 Å, c = 15.4767 Å
α = 90.00°, β = 98.87°, γ = 90.00°
Space group P2/m (No. 10)
Unique sites:
Tb  0.0000  0.0000  0.0000 (multiplicity 1)
Tb  0.3178  0.5000  0.6358 (multiplicity 2)
Cd  0.0742  0.5000  0.1504 (multiplicity 2)
Cd  0.2295  0.0000  0.4591 (multiplicity 2)
Cd  0.4220  0.0000  0.8420 (multiplicity 2)
Cd  0.5000  0.5000  0.0000 (multiplicity 1)
In  0.1379  0.0000  0.2791 (multiplicity 2)

Entry 8:
Structure and theoretical XRD peak list of Tb11Cd4In9 (a GGA-PBE-relaxed structure; Cu Kα (weighted mean of Kα1 and Kα2)).

Largest 8 diffraction maxima, in order of falling intensity, 15 to 90 degrees two-theta:
2θ 33.73, d = 2.658 Å, rel. 100, hkl 4 0 1; 2θ 60.28, d = 1.535 Å, rel. 18, hkl 4 6 2; 2θ 48.34, d = 1.883 Å, rel. 9, hkl 0 0 2; 2θ 32.05, d = 2.793 Å, rel. 8, hkl 3 3 1; 2θ 48.49, d = 1.877 Å, rel. 8, hkl 8 0 0; 2θ 30.95, d = 2.889 Å, rel. 7, hkl 2 4 1; 2θ 60.39, d = 1.533 Å, rel. 6, hkl 4 12 1; 2θ 35.88, d = 2.503 Å, rel. 6, hkl 3 5 1

a = 15.0308 Å, b = 22.5075 Å, c = 3.7658 Å
α = 90.00°, β = 90.00°, γ = 90.00°
Space group Cmmm (No. 65)
Unique sites:
Tb  0.0000  0.0000  0.0000 (multiplicity 2)
Tb  0.0000  0.1628  0.0000 (multiplicity 4)
Tb  0.0000  0.3598  0.0000 (multiplicity 4)
Tb  0.2227  0.5000  0.0000 (multiplicity 4)
Tb  0.2345  0.1755  0.0000 (multiplicity 8)
Cd  0.1498  0.4027  0.5000 (multiplicity 8)
In  0.0000  0.5000  0.5000 (multiplicity 2)
In  0.1080  0.2618  0.5000 (multiplicity 8)
In  0.1341  0.0773  0.5000 (multiplicity 8)